(1)
For CsLiBeSe2, a DFT-relaxed cell (PBE, Alexandria) gives the theoretical X-ray diffraction stick pattern in this record (Cu Kα X-rays).
Neutral-atom scattering factors, no anomalous dispersion.

Structural model:
abc: 7.9746 7.9746 5.9765
angles: 90.00 90.00 132.05
Element x y z (fractional)
1 Cs 0.2500 0.7500 0.7498
2 Cs 0.7500 0.2500 0.2502
3 Li 0.2500 0.2500 0.0000
4 Li 0.7500 0.7500 0.0000
5 Be 0.0000 0.0000 0.5000
6 Be 0.5000 0.5000 0.5000
7 Se 0.0966 0.9034 0.2545
8 Se 0.4034 0.5966 0.2545
9 Se 0.5966 0.4034 0.7455
10 Se 0.9034 0.0966 0.7455

Peak list (8 most intense, 15 to 90 degrees two-theta, in order of rising 2θ)
| Position (°2θ) | intensity |
| --- | --- |
| 27.37 | 100 |
| 27.53 | 26 |
| 29.90 | 19 |
| 37.01 | 16 |
| 41.09 | 17 |
| 48.58 | 20 |
| 51.55 | 17 |
| 56.48 | 12 |



(2)
For SrGeAu4, a DFT-relaxed cell (PBE, Alexandria) gives the theoretical X-ray diffraction stick pattern in this record (Cu Kα X-rays).
Neutral-atom scattering factors, no anomalous dispersion.

Structural model:
abc: 8.6226 8.6226 6.9176
angles: 90.00 90.00 149.76
Element x y z (fractional)
1 Sr 0.1132 0.8868 0.7500
2 Sr 0.8868 0.1132 0.2500
3 Ge 0.2354 0.7646 0.2500
4 Ge 0.7646 0.2354 0.7500
5 Au 0.0730 0.9270 0.2500
6 Au 0.3271 0.6729 0.5490
7 Au 0.3271 0.6729 0.9510
8 Au 0.5000 0.5000 0.0000
9 Au 0.5000 0.5000 0.5000
10 Au 0.6729 0.3271 0.0490
11 Au 0.6729 0.3271 0.4510
12 Au 0.9270 0.0730 0.7500

Peak list (8 most intense, 15 to 90 degrees two-theta, in order of rising 2θ)
| Position (°2θ) | intensity |
| --- | --- |
| 16.66 | 23 |
| 33.11 | 100 |
| 33.48 | 55 |
| 35.98 | 26 |
| 40.10 | 38 |
| 41.73 | 47 |
| 59.25 | 34 |
| 68.44 | 21 |



(3)
For Pr8Pb4Se3N, a DFT-relaxed cell (PBE, Alexandria) gives the theoretical X-ray diffraction stick pattern in this record (Cu Kα X-rays).
Neutral-atom scattering factors, no anomalous dispersion.

Structural model:
abc: 8.2717 8.2717 9.3353
angles: 116.51 116.51 59.82
Element x y z (fractional)
1 Pr 0.2172 0.2172 0.6959
2 Pr 0.2167 0.7629 0.6954
3 Pr 0.2371 0.7833 0.3046
4 Pr 0.2600 0.2600 0.2812
5 Pr 0.7400 0.7400 0.7188
6 Pr 0.7629 0.2167 0.6954
7 Pr 0.7833 0.2371 0.3046
8 Pr 0.7828 0.7828 0.3041
9 Pb 0.0000 0.0000 0.0000
10 Pb 0.0000 0.5000 0.0000
11 Pb 0.5000 0.0000 0.0000
12 Pb 0.5000 0.5000 0.0000
13 Se 0.0000 0.5000 0.5000
14 Se 0.5000 0.0000 0.5000
15 Se 0.5000 0.5000 0.5000
16 N 0.0000 0.0000 0.5000

Peak list (8 most intense, 15 to 90 degrees two-theta, in order of rising 2θ)
| Position (°2θ) | intensity |
| --- | --- |
| 25.16 | 15 |
| 29.05 | 100 |
| 31.22 | 15 |
| 39.08 | 11 |
| 39.23 | 24 |
| 43.78 | 23 |
| 43.90 | 11 |
| 53.51 | 11 |



(4)
For Ho2P4Ir3, a DFT-relaxed cell (PBE, Alexandria) gives the theoretical X-ray diffraction stick pattern in this record (Cu Kα X-rays).
Neutral-atom scattering factors, no anomalous dispersion.

Structural model:
abc: 7.5754 6.3900 5.6046
angles: 78.03 55.61 46.37
Element x y z (fractional)
1 Ho 0.1436 0.1436 0.8564
2 Ho 0.8564 0.8564 0.1436
3 P 0.1820 0.5032 0.4968
4 P 0.4968 0.8180 0.1820
5 P 0.5032 0.1820 0.8180
6 P 0.8180 0.4968 0.5032
7 Ir 0.0000 0.0000 0.5000
8 Ir 0.5000 0.5000 0.0000
9 Ir 0.5000 0.5000 0.5000

Peak list (8 most intense, 15 to 90 degrees two-theta, in order of rising 2θ)
| Position (°2θ) | intensity |
| --- | --- |
| 15.33 | 100 |
| 29.83 | 76 |
| 36.70 | 42 |
| 37.78 | 82 |
| 39.79 | 73 |
| 39.99 | 27 |
| 40.99 | 49 |
| 61.96 | 30 |



(5)
For Ba2Ca2Bi2S, a DFT-relaxed cell (PBE, Alexandria) gives the theoretical X-ray diffraction stick pattern in this record (Cu Kα X-rays).
Neutral-atom scattering factors, no anomalous dispersion.

Structural model:
abc: 9.9411 9.9411 9.9411
angles: 149.00 149.00 44.41
Element x y z (fractional)
1 Ba 0.1726 0.1726 0.0000
2 Ba 0.8274 0.8274 0.0000
3 Ca 0.0000 0.5000 0.5000
4 Ca 0.5000 0.0000 0.5000
5 Bi 0.3728 0.3728 0.0000
6 Bi 0.6272 0.6272 0.0000
7 S 0.0000 0.0000 0.0000

Peak list (8 most intense, 15 to 90 degrees two-theta, in order of rising 2θ)
| Position (°2θ) | intensity |
| --- | --- |
| 19.29 | 30 |
| 23.68 | 100 |
| 29.52 | 68 |
| 30.72 | 85 |
| 33.74 | 67 |
| 45.43 | 42 |
| 58.48 | 28 |
| 68.59 | 33 |



(6)
For Rb2Hf3Cl9, a DFT-relaxed cell (PBE, Alexandria) gives the theoretical X-ray diffraction stick pattern in this record (Cu Kα X-rays).
Neutral-atom scattering factors, no anomalous dispersion.

Structural model:
abc: 10.3372 10.3372 10.0358
angles: 102.85 102.85 117.03
Element x y z (fractional)
1 Rb 0.0621 0.7343 0.6862
2 Rb 0.2656 0.9379 0.3138
3 Rb 0.7343 0.0621 0.6862
4 Rb 0.9379 0.2656 0.3138
5 Hf 0.2677 0.4448 0.8509
6 Hf 0.3631 0.3631 0.1297
7 Hf 0.4448 0.2677 0.8509
8 Hf 0.5552 0.7323 0.1491
9 Hf 0.6369 0.6369 0.8703
10 Hf 0.7323 0.5552 0.1491
11 Cl 0.0066 0.3913 0.6755
12 Cl 0.0966 0.3079 0.9832
13 Cl 0.1860 0.1860 0.6641
14 Cl 0.2196 0.2196 0.2753
15 Cl 0.3000 0.7000 0.0000
16 Cl 0.3079 0.0966 0.9832
17 Cl 0.3874 0.5863 0.6923
18 Cl 0.3913 0.0066 0.6755
19 Cl 0.4137 0.6126 0.3077
20 Cl 0.5863 0.3874 0.6923
21 Cl 0.6087 0.9934 0.3245
22 Cl 0.6126 0.4137 0.3077
23 Cl 0.6921 0.9034 0.0168
24 Cl 0.7000 0.3000 0.0000
25 Cl 0.7804 0.7804 0.7247
26 Cl 0.8140 0.8140 0.3359
27 Cl 0.9034 0.6921 0.0168
28 Cl 0.9934 0.6087 0.3245

Peak list (8 most intense, 15 to 90 degrees two-theta, in order of rising 2θ)
| Position (°2θ) | intensity |
| --- | --- |
| 23.32 | 59 |
| 25.34 | 55 |
| 29.99 | 50 |
| 31.01 | 100 |
| 31.60 | 80 |
| 35.76 | 90 |
| 36.82 | 68 |
| 41.18 | 49 |



(7)
For KPm2BiO5, a DFT-relaxed cell (PBE, Alexandria) gives the theoretical X-ray diffraction stick pattern in this record (Cu Kα X-rays).
Neutral-atom scattering factors, no anomalous dispersion.

Structural model:
abc: 8.0665 8.0665 8.0665
angles: 129.52 129.52 74.18
Element x y z (fractional)
1 K 0.2500 0.2500 0.0000
2 K 0.7500 0.7500 0.0000
3 Pm 0.1787 0.6787 0.8574
4 Pm 0.3213 0.1787 0.5000
5 Pm 0.6787 0.8213 0.5000
6 Pm 0.8213 0.3213 0.1426
7 Bi 0.2500 0.7500 0.5000
8 Bi 0.7500 0.2500 0.5000
9 O 0.0000 0.0000 0.0000
10 O 0.0297 0.2348 0.5000
11 O 0.2348 0.7348 0.2051
12 O 0.2652 0.4703 0.5000
13 O 0.4703 0.9703 0.2051
14 O 0.5000 0.5000 0.0000
15 O 0.5297 0.0297 0.7949
16 O 0.7348 0.5297 0.5000
17 O 0.7652 0.2652 0.7949
18 O 0.9703 0.7652 0.5000

Peak list (8 most intense, 15 to 90 degrees two-theta, in order of rising 2θ)
| Position (°2θ) | intensity |
| --- | --- |
| 18.24 | 46 |
| 27.73 | 40 |
| 29.44 | 100 |
| 29.86 | 31 |
| 35.92 | 39 |
| 36.96 | 23 |
| 43.93 | 38 |
| 50.12 | 23 |



(8)
For H5W, a DFT-relaxed cell (PBE, Alexandria) gives the theoretical X-ray diffraction stick pattern in this record (Cu Kα X-rays).
Neutral-atom scattering factors, no anomalous dispersion.

Structural model:
abc: 6.0374 2.8666 4.3339
angles: 90.00 90.00 90.00
Element x y z (fractional)
1 H 0.0750 0.0000 0.2265
2 H 0.1061 0.5000 0.7013
3 H 0.2500 0.5000 0.1547
4 H 0.3939 0.5000 0.7013
5 H 0.4250 0.0000 0.2265
6 H 0.5750 0.0000 0.7735
7 H 0.6061 0.5000 0.2987
8 H 0.7500 0.5000 0.8453
9 H 0.8939 0.5000 0.2987
10 H 0.9250 0.0000 0.7735
11 W 0.2500 0.0000 0.8932
12 W 0.7500 0.0000 0.1068

Peak list (8 most intense, 15 to 90 degrees two-theta, in order of rising 2θ)
| Position (°2θ) | intensity |
| --- | --- |
| 20.49 | 100 |
| 25.30 | 74 |
| 29.59 | 65 |
| 31.20 | 56 |
| 36.27 | 48 |
| 37.62 | 43 |
| 43.54 | 46 |
| 55.28 | 45 |



(9)
For Y7Mg3Ge8, a DFT-relaxed cell (PBE, Alexandria) gives the theoretical X-ray diffraction stick pattern in this record (Cu Kα X-rays).
Neutral-atom scattering factors, no anomalous dispersion.

Structural model:
abc: 7.7867 7.1424 14.5499
angles: 90.00 90.00 90.00
Element x y z (fractional)
1 Y 0.0653 0.0000 0.1517
2 Y 0.0665 0.9976 0.8472
3 Y 0.0724 0.3186 0.6255
4 Y 0.0737 0.3202 0.3752
5 Y 0.4306 0.6589 0.8804
6 Y 0.4331 0.9785 0.3428
7 Y 0.4344 0.9817 0.6588
8 Y 0.5656 0.4817 0.3412
9 Y 0.5669 0.4785 0.6572
10 Y 0.5694 0.1589 0.1196
11 Y 0.9263 0.8202 0.6248
12 Y 0.9276 0.8186 0.3745
13 Y 0.9335 0.4976 0.1528
14 Y 0.9347 0.5000 0.8483
15 Mg 0.2349 0.3322 0.0015
16 Mg 0.2714 0.6508 0.5007
17 Mg 0.4253 0.6670 0.1254
18 Mg 0.5747 0.1670 0.8746
19 Mg 0.7286 0.1508 0.4993
20 Mg 0.7651 0.8322 0.9985
21 Ge 0.1105 0.7034 0.0004
22 Ge 0.1625 0.0123 0.5003
23 Ge 0.2171 0.6592 0.7161
24 Ge 0.2181 0.6588 0.2833
25 Ge 0.2849 0.3240 0.2114
26 Ge 0.2858 0.3182 0.7904
27 Ge 0.3432 0.9636 0.9995
28 Ge 0.3887 0.2768 0.4998
29 Ge 0.6113 0.7768 0.5002
30 Ge 0.6568 0.4636 0.0005
31 Ge 0.7142 0.8182 0.2096
32 Ge 0.7151 0.8240 0.7886
33 Ge 0.7819 0.1588 0.7167
34 Ge 0.7829 0.1592 0.2839
35 Ge 0.8375 0.5123 0.4997
36 Ge 0.8895 0.2034 0.9996

Peak list (8 most intense, 15 to 90 degrees two-theta, in order of rising 2θ)
| Position (°2θ) | intensity |
| --- | --- |
| 20.83 | 21 |
| 32.03 | 86 |
| 33.21 | 100 |
| 33.72 | 46 |
| 36.06 | 32 |
| 37.10 | 34 |
| 37.38 | 28 |
| 39.58 | 49 |



(10)
For AcPrLuTh, a DFT-relaxed cell (PBE, Alexandria) gives the theoretical X-ray diffraction stick pattern in this record (Cu Kα X-rays).
Neutral-atom scattering factors, no anomalous dispersion.

Structural model:
abc: 5.8708 5.8708 5.8708
angles: 60.00 60.00 60.00
Element x y z (fractional)
1 Ac 0.0000 0.0000 0.0000
2 Pr 0.7500 0.7500 0.7500
3 Lu 0.5000 0.5000 0.5000
4 Th 0.2500 0.2500 0.2500

Peak list (8 most intense, 15 to 90 degrees two-theta, in order of rising 2θ)
| Position (°2θ) | intensity |
| --- | --- |
| 18.51 | 3 |
| 30.45 | 100 |
| 43.61 | 19 |
| 54.12 | 41 |
| 63.37 | 13 |
| 71.93 | 18 |
| 80.08 | 4 |
| 88.03 | 22 |



(11)
For KCa2Cd2Sn2, a DFT-relaxed cell (PBE, Alexandria) gives the theoretical X-ray diffraction stick pattern in this record (Cu Kα X-rays).
Neutral-atom scattering factors, no anomalous dispersion.

Structural model:
abc: 10.5307 10.5307 10.5307
angles: 28.04 28.04 28.04
Element x y z (fractional)
1 K 0.0000 0.0000 0.0000
2 Ca 0.1344 0.1344 0.1344
3 Ca 0.8656 0.8656 0.8656
4 Cd 0.4310 0.4310 0.4310
5 Cd 0.5690 0.5690 0.5690
6 Sn 0.2478 0.2478 0.2478
7 Sn 0.7522 0.7522 0.7522

Peak list (8 most intense, 15 to 90 degrees two-theta, in order of rising 2θ)
| Position (°2θ) | intensity |
| --- | --- |
| 17.54 | 69 |
| 23.30 | 21 |
| 28.86 | 51 |
| 35.17 | 100 |
| 35.91 | 29 |
| 39.56 | 56 |
| 50.85 | 21 |
| 52.53 | 23 |



(12)
For Mg3In6Sn2, a DFT-relaxed cell (PBE, Alexandria) gives the theoretical X-ray diffraction stick pattern in this record (Cu Kα X-rays).
Neutral-atom scattering factors, no anomalous dispersion.

Structural model:
abc: 6.3335 6.4037 8.1812
angles: 90.56 105.98 113.03
Element x y z (fractional)
1 Mg 0.0000 0.0000 0.0000
2 Mg 0.1155 0.2905 0.6932
3 Mg 0.7763 0.8852 0.3588
4 In 0.1097 0.8075 0.6752
5 In 0.1844 0.3496 0.3351
6 In 0.5044 0.4983 0.0518
7 In 0.5697 0.7152 0.6788
8 In 0.7072 0.3596 0.4225
9 In 0.9558 0.4822 0.9618
10 Sn 0.2644 0.8655 0.3226
11 Sn 0.5215 0.0123 0.0178

Peak list (8 most intense, 15 to 90 degrees two-theta, in order of rising 2θ)
| Position (°2θ) | intensity |
| --- | --- |
| 25.74 | 31 |
| 32.25 | 28 |
| 33.46 | 42 |
| 34.22 | 100 |
| 34.52 | 53 |
| 35.90 | 52 |
| 37.53 | 39 |
| 38.05 | 48 |